No. 1
Diffraction record for Ac2Te3. The PXRD pattern is simulated, not measured: it uses a crystal structure in Alexandria, relaxed with GGA-PBE and a wavelength of 1.5418 Å.
Kinematic intensities with the Lorentz-polarization factor, no thermal factor.

Crystal structure
```
data_Ac2Te3
_symmetry_space_group_name_H-M 'P n m a'
_symmetry_Int_Tables_number 62
_cell_length_a 12.923
_cell_length_b 4.705
_cell_length_c 12.465
_cell_angle_alpha 90.00
_cell_angle_beta 90.00
_cell_angle_gamma 90.00
loop_
_symmetry_equiv_pos_as_xyz
'x,y,z'
'-x,-y,-z'
'-x+1/2,-y,z+1/2'
'x+1/2,y,-z+1/2'
'x+1/2,-y+1/2,-z+1/2'
'-x+1/2,y+1/2,z+1/2'
'-x,y+1/2,-z'
'x,-y+1/2,z'
loop_
_atom_site_label
_atom_site_fract_x
_atom_site_fract_y
_atom_site_fract_z
_atom_site_occupancy
Ac1 0.010 0.250 0.188 1
Ac2 0.194 0.250 0.504 1
Te1 0.046 0.750 0.376 1
Te2 0.121 0.250 0.944 1
Te3 0.229 0.750 0.703 1
```

Main lines, in order of rising 2θ (2θ from 10° to 80°):
d_spacing  intensity  (hkl)
4.486  56  2 0 2
3.606  64  1 1 2
3.247  65  2 1 2
3.115  78  0 1 3
3.079  59  3 1 1
3.028  100  1 1 3
2.831  72  3 1 2
2.605  58  4 1 1
2.449  56  4 1 2
2.353  77  0 2 0

No. 2
Diffraction record for TbPm2Pr4Nd. The PXRD pattern is simulated, not measured: it uses a crystal structure in Alexandria, relaxed with GGA-PBE and a wavelength of 1.5418 Å.
Kinematic intensities with the Lorentz-polarization factor, no thermal factor.

Crystal structure
```
data_TbPm2Pr4Nd
_symmetry_space_group_name_H-M 'C 1 2/c 1'
_symmetry_Int_Tables_number 15
_cell_length_a 13.927
_cell_length_b 13.484
_cell_length_c 6.979
_cell_angle_alpha 90.00
_cell_angle_beta 119.83
_cell_angle_gamma 90.00
loop_
_symmetry_equiv_pos_as_xyz
'x,y,z'
'-x,-y,-z'
'-x,y,-z+1/2'
'x,-y,z+1/2'
'x+1/2,y+1/2,z'
'-x+1/2,-y+1/2,-z'
'-x+1/2,y+1/2,-z+1/2'
'x+1/2,-y+1/2,z+1/2'
loop_
_atom_site_label
_atom_site_fract_x
_atom_site_fract_y
_atom_site_fract_z
_atom_site_occupancy
Tb1 0.000 0.000 0.000 1
Pm1 0.000 0.500 0.000 1
Pm2 0.250 0.250 0.000 1
Pr1 0.000 0.247 0.501 1
Pr2 0.248 0.000 0.448 1
Nd1 0.250 0.250 0.500 1
```

Main lines, in order of rising 2θ (2θ from 10° to 80°):
d_spacing  intensity  (hkl)
3.371  54  0 4 0
3.024  77  4 0 0
3.016  37  4 0 -2
2.250  100  4 4 0
1.746  13  4 0 2
1.550  17  4 4 2
1.547  10  8 4 -2
1.472  18  4 8 0
1.471  9  4 8 -2
1.378  8  8 4 0

No. 3
Diffraction record for Na3Bi3Au2. The PXRD pattern is simulated, not measured: it uses a crystal structure in Alexandria, relaxed with GGA-PBE and a wavelength of 1.5418 Å.
Kinematic intensities with the Lorentz-polarization factor, no thermal factor.

Crystal structure
```
data_Na3Bi3Au2
_symmetry_space_group_name_H-M 'C m c m'
_symmetry_Int_Tables_number 63
_symmetry_space_group_name_Hall '-C 2c 2'
_cell_length_a 4.609
_cell_length_b 11.283
_cell_length_c 17.379
_cell_angle_alpha 90.00
_cell_angle_beta 90.00
_cell_angle_gamma 90.00
loop_
_atom_site_label
_atom_site_fract_x
_atom_site_fract_y
_atom_site_fract_z
_atom_site_occupancy
Na1 0.000 0.068 0.121 1
Na2 0.000 0.348 0.250 1
Bi1 0.000 0.361 0.750 1
Bi2 0.000 0.368 0.032 1
Au1 0.000 0.221 0.616 1
```

Main lines, in order of rising 2θ (2θ from 10° to 80°):
d_spacing  intensity  (hkl)
5.641  75  0 2 0
4.144  88  1 1 1
4.042  100  0 2 3
3.044  82  1 1 4
2.603  80  1 3 3
2.420  82  1 3 4
2.366  62  0 4 4
2.305  56  2 0 0
2.146  94  1 1 7
1.522  46  1 7 0

No. 4
Diffraction record for Cd12In7Hg. The PXRD pattern is simulated, not measured: it uses a crystal structure in Alexandria, relaxed with GGA-PBE and a wavelength of 1.5418 Å.
Kinematic intensities with the Lorentz-polarization factor, no thermal factor.

Crystal structure
```
data_Cd12In7Hg
_symmetry_space_group_name_H-M 'R -3 m'
_symmetry_Int_Tables_number 166
_symmetry_space_group_name_Hall '-R 3 2"'
_cell_length_a 12.0394
_cell_length_b 12.0394
_cell_length_c 11.8636
_cell_angle_alpha 90.00
_cell_angle_beta 90.00
_cell_angle_gamma 120.00
loop_
_atom_site_label
_atom_site_fract_x
_atom_site_fract_y
_atom_site_fract_z
_atom_site_occupancy
Cd1 0.0000 0.2611 0.0000 1
Cd2 0.0405 0.5203 0.1243 1
In1 0.0000 0.0000 0.5000 1
In2 0.0882 0.1764 0.7621 1
Hg1 0.0000 0.0000 0.0000 1
```

Main lines, in order of rising 2θ (2θ from 10° to 80°):
d_spacing  intensity  (hkl)
2.853  69  1 0 4
2.611  70  0 3 3
2.599  75  3 1 2
2.546  100  4 0 1
2.395  14  2 2 3
2.386  42  0 4 2
1.719  22  3 0 6
1.505  22  4 4 0
1.484  26  4 3 4
1.445  17  0 7 2

No. 5
Diffraction record for CaTl2Cl3F. The PXRD pattern is simulated, not measured: it uses a crystal structure in Alexandria, relaxed with GGA-PBE and a wavelength of 1.5418 Å.
Kinematic intensities with the Lorentz-polarization factor, no thermal factor.

Crystal structure
```
data_CaTl2Cl3F
_symmetry_space_group_name_H-M 'I m m m'
_symmetry_Int_Tables_number 71
_symmetry_space_group_name_Hall '-I 2 2'
_cell_length_a 4.385
_cell_length_b 5.414
_cell_length_c 17.039
_cell_angle_alpha 90.00
_cell_angle_beta 90.00
_cell_angle_gamma 90.00
loop_
_atom_site_label
_atom_site_fract_x
_atom_site_fract_y
_atom_site_fract_z
_atom_site_occupancy
Ca1 0.000 0.000 0.000 1
Tl1 0.000 0.000 0.349 1
Cl1 0.000 0.000 0.165 1
Cl2 0.000 0.500 0.000 1
F1 0.000 0.500 0.500 1
```

Main lines, in order of rising 2θ (2θ from 10° to 80°):
d_spacing  intensity  (hkl)
5.160  35  0 1 1
4.255  41  0 0 4
3.919  73  0 1 3
3.471  66  1 0 3
3.407  100  1 1 0
2.840  37  0 0 6
2.707  42  0 2 0
2.661  69  1 1 4
2.182  42  1 1 6
2.134  39  1 2 3

No. 6
Diffraction record for LiSiTc. The PXRD pattern is simulated, not measured: it uses a crystal structure in Alexandria, relaxed with GGA-PBE and a wavelength of 1.5418 Å.
Kinematic intensities with the Lorentz-polarization factor, no thermal factor.

Crystal structure
```
data_LiSiTc
_symmetry_space_group_name_H-M 'P -1'
_symmetry_Int_Tables_number 2
_cell_length_a 4.375
_cell_length_b 4.557
_cell_length_c 4.849
_cell_angle_alpha 108.62
_cell_angle_beta 99.29
_cell_angle_gamma 115.49
loop_
_symmetry_equiv_pos_as_xyz
'x,y,z'
'-x,-y,-z'
loop_
_atom_site_label
_atom_site_fract_x
_atom_site_fract_y
_atom_site_fract_z
_atom_site_occupancy
Li1 0.019 0.004 0.252 1
Si1 0.297 0.666 0.757 1
Tc1 0.355 0.660 0.261 1
```

Main lines, in order of rising 2θ (2θ from 10° to 80°):
d_spacing  intensity  (hkl)
3.758  30  1 -1 0
3.722  38  0 1 -1
3.700  100  1 0 0
3.468  32  1 0 -1
2.964  37  1 -1 1
2.715  27  -1 1 1
2.159  89  1 -2 0
2.153  47  0 0 2
2.126  45  1 1 0
2.042  40  1 1 -2

No. 7
Diffraction record for Pm8Er4Pu. The PXRD pattern is simulated, not measured: it uses a crystal structure in Alexandria, relaxed with GGA-PBE and a wavelength of 1.5418 Å.
Kinematic intensities with the Lorentz-polarization factor, no thermal factor.

Crystal structure
```
data_Pm8Er4Pu
_symmetry_space_group_name_H-M 'P m -3 m'
_symmetry_Int_Tables_number 221
_symmetry_space_group_name_Hall '-P 4 2 3'
_cell_length_a 7.813
_cell_length_b 7.813
_cell_length_c 7.813
_cell_angle_alpha 90.00
_cell_angle_beta 90.00
_cell_angle_gamma 90.00
loop_
_atom_site_label
_atom_site_fract_x
_atom_site_fract_y
_atom_site_fract_z
_atom_site_occupancy
Pm1 0.244 0.244 0.244 1
Er1 0.000 0.000 0.000 1
Er2 0.000 0.500 0.500 1
Pu1 0.500 0.500 0.500 1
```

Main lines, in order of rising 2θ (2θ from 10° to 80°):
d_spacing  intensity  (hkl)
7.813  5  1 0 0
5.524  7  1 1 0
4.511  10  1 1 1
3.494  7  2 1 0
2.762  100  2 2 0
2.356  5  3 1 1
1.953  18  4 0 0
1.595  38  4 2 2
1.381  12  4 4 0
1.235  16  6 2 0

No. 8
Diffraction record for Tm4HC2S. The PXRD pattern is simulated, not measured: it uses a crystal structure in Alexandria, relaxed with GGA-PBE and a wavelength of 1.5418 Å.
Kinematic intensities with the Lorentz-polarization factor, no thermal factor.

Crystal structure
```
data_Tm4HC2S
_symmetry_space_group_name_H-M 'F m m 2'
_symmetry_Int_Tables_number 42
_symmetry_space_group_name_Hall 'F 2 -2'
_cell_length_a 7.264
_cell_length_b 10.016
_cell_length_c 7.263
_cell_angle_alpha 90.00
_cell_angle_beta 90.00
_cell_angle_gamma 90.00
loop_
_atom_site_label
_atom_site_fract_x
_atom_site_fract_y
_atom_site_fract_z
_atom_site_occupancy
Tm1 0.000 0.245 0.000 1
Tm2 0.250 0.000 0.250 1
H1 0.000 0.000 0.999 1
C1 0.250 0.250 0.250 1
S1 0.000 0.000 0.500 1
```

Main lines, in order of rising 2θ (2θ from 10° to 80°):
d_spacing  intensity  (hkl)
2.940  100  2 2 0
2.568  49  2 0 2
2.504  23  0 4 0
1.816  17  4 0 0
1.793  33  2 4 2
1.545  31  4 2 2
1.517  14  2 6 0
1.470  17  4 4 0
1.284  5  4 0 4
1.252  2  0 8 0

Please write out number 1 again, unchanged.
Diffraction record for Ac2Te3. The PXRD pattern is simulated, not measured: it uses a crystal structure in Alexandria, relaxed with GGA-PBE and a wavelength of 1.5418 Å.
Kinematic intensities with the Lorentz-polarization factor, no thermal factor.

Crystal structure
```
data_Ac2Te3
_symmetry_space_group_name_H-M 'P n m a'
_symmetry_Int_Tables_number 62
_cell_length_a 12.923
_cell_length_b 4.705
_cell_length_c 12.465
_cell_angle_alpha 90.00
_cell_angle_beta 90.00
_cell_angle_gamma 90.00
loop_
_symmetry_equiv_pos_as_xyz
'x,y,z'
'-x,-y,-z'
'-x+1/2,-y,z+1/2'
'x+1/2,y,-z+1/2'
'x+1/2,-y+1/2,-z+1/2'
'-x+1/2,y+1/2,z+1/2'
'-x,y+1/2,-z'
'x,-y+1/2,z'
loop_
_atom_site_label
_atom_site_fract_x
_atom_site_fract_y
_atom_site_fract_z
_atom_site_occupancy
Ac1 0.010 0.250 0.188 1
Ac2 0.194 0.250 0.504 1
Te1 0.046 0.750 0.376 1
Te2 0.121 0.250 0.944 1
Te3 0.229 0.750 0.703 1
```

Main lines, in order of rising 2θ (2θ from 10° to 80°):
d_spacing  intensity  (hkl)
4.486  56  2 0 2
3.606  64  1 1 2
3.247  65  2 1 2
3.115  78  0 1 3
3.079  59  3 1 1
3.028  100  1 1 3
2.831  72  3 1 2
2.605  58  4 1 1
2.449  56  4 1 2
2.353  77  0 2 0